FeCl4: calculated powder X-ray diffraction pattern (λ = 1.5418 Å (Cu Kα)), based on DFT lattice parameters and positions (GGA-PBE).

Cell and atoms:
a = 5.720 Å, b = 5.720 Å, c = 10.491 Å
α = 90.00°, β = 90.00°, γ = 90.00°
Space group I-42m (No. 121)
Inequivalent atoms, fractional coordinates:
Fe 0.000 0.000 0.000
Cl 0.207 0.207 0.875

Main lines, low angle first (15 to 90 degrees two-theta):
d/Å	2θ/deg	Rel. int.	(hkl)
5.246	16.9	12.6	0 0 2
5.022	17.7	100.0	1 0 1
4.045	22.0	18.6	1 1 0
3.203	27.9	92.5	1 1 2
2.485	36.1	15.3	2 1 1
2.065	43.8	20.5	2 1 3
2.022	44.8	13.9	2 2 0
1.933	47.0	28.9	2 0 4
1.710	53.6	14.2	3 1 2
1.569	58.9	13.4	3 2 1